Record 1
Theoretical powder X-ray diffraction pattern of CuAg3 for Cu Kα (weighted mean of Kα1 and Kα2), from a structure optimized by DFT (PBE).

Atomic structure:
```
data_CuAg3
_chemical_formula_sum 'Cu4 Ag12'
_symmetry_space_group_name_H-M 'C 1 2/m 1'
_symmetry_Int_Tables_number 12
_cell_length_a 18.653
_cell_length_b 2.856
_cell_length_c 4.961
_cell_angle_alpha 90.00
_cell_angle_beta 94.26
_cell_angle_gamma 90.00
loop_
_symmetry_equiv_pos_as_xyz
'x,y,z'
'-x,-y,-z'
'-x,y,-z'
'x,-y,z'
'x+1/2,y+1/2,z'
'-x+1/2,-y+1/2,-z'
'-x+1/2,y+1/2,-z'
'x+1/2,-y+1/2,z'
loop_
_atom_site_label
_atom_site_fract_x
_atom_site_fract_y
_atom_site_fract_z
_atom_site_occupancy
Cu1 0.123 0.000 0.374 1
Ag1 0.000 0.000 0.000 1
Ag2 0.000 0.500 0.500 1
Ag3 0.126 0.500 0.867 1
Ag4 0.245 0.500 0.255 1
```

Most intense lines, 2θ = 5–70°, sorted by position:
hkl 4 0 0, 2θ 19.08, I = 22; hkl 6 0 -1, 2θ 32.94, I = 14; hkl 2 0 2, 2θ 38.34, I = 345; hkl 3 1 -1, 2θ 38.70, I = 1000; hkl 5 1 1, 2θ 44.75, I = 436; hkl 6 0 -2, 2θ 45.16, I = 208; hkl 10 0 2, 2θ 64.92, I = 66; hkl 1 1 -3, 2θ 65.20, I = 132; hkl 0 2 0, 2θ 65.36, I = 72; hkl 11 1 -1, 2θ 65.72, I = 124

Record 2
Theoretical powder X-ray diffraction pattern of H2PdSeO5 for Cu Kα (weighted mean of Kα1 and Kα2), from a structure optimized by DFT (PBE).

Atomic structure:
```
data_H2PdSeO5
_chemical_formula_sum 'H8 Pd4 Se4 O20'
_symmetry_space_group_name_H-M 'C 1 2/c 1'
_symmetry_Int_Tables_number 15
_cell_length_a 7.056
_cell_length_b 8.036
_cell_length_c 7.770
_cell_angle_alpha 90.00
_cell_angle_beta 116.98
_cell_angle_gamma 90.00
loop_
_symmetry_equiv_pos_as_xyz
'x,y,z'
'-x,-y,-z'
'-x,y,-z+1/2'
'x,-y,z+1/2'
'x+1/2,y+1/2,z'
'-x+1/2,-y+1/2,-z'
'-x+1/2,y+1/2,-z+1/2'
'x+1/2,-y+1/2,z+1/2'
loop_
_atom_site_label
_atom_site_fract_x
_atom_site_fract_y
_atom_site_fract_z
_atom_site_occupancy
H1 0.131 0.212 0.294 1
Pd1 0.000 0.000 0.000 1
Se1 0.000 0.349 0.750 1
O1 0.000 0.139 0.250 1
O2 0.133 0.224 0.665 1
O3 0.176 0.463 0.936 1
```

Most intense lines, 2θ = 5–70°, sorted by position:
hkl 1 1 -1, 2θ 17.91, I = 482; hkl 1 1 -2, 2θ 25.60, I = 1000; hkl 2 0 0, 2θ 28.39, I = 324; hkl 2 2 -1, 2θ 33.81, I = 140; hkl 0 2 2, 2θ 34.19, I = 370; hkl 1 3 0, 2θ 36.46, I = 228; hkl 1 1 2, 2θ 36.60, I = 120; hkl 3 1 -2, 2θ 40.49, I = 210; hkl 3 3 0, 2θ 55.68, I = 128; hkl 4 0 -4, 2θ 58.74, I = 146

Record 3
Theoretical powder X-ray diffraction pattern of LaCoBiAu for Cu Kα (weighted mean of Kα1 and Kα2), from a structure optimized by DFT (PBE).

Atomic structure:
```
data_LaCoBiAu
_chemical_formula_sum 'La4 Co4 Bi4 Au4'
_symmetry_space_group_name_H-M 'F -4 3 m'
_symmetry_Int_Tables_number 216
_symmetry_space_group_name_Hall 'F -4 2 3'
_cell_length_a 7.228
_cell_length_b 7.228
_cell_length_c 7.228
_cell_angle_alpha 90.00
_cell_angle_beta 90.00
_cell_angle_gamma 90.00
loop_
_atom_site_label
_atom_site_fract_x
_atom_site_fract_y
_atom_site_fract_z
_atom_site_occupancy
La1 0.000 0.000 0.000 1
Co1 0.250 0.250 0.250 1
Bi1 0.250 0.250 0.750 1
Au1 0.000 0.000 0.500 1
```

Most intense lines, 2θ = 5–70°, sorted by position:
hkl 1 1 1, 2θ 21.29, I = 149; hkl 2 0 0, 2θ 24.63, I = 15; hkl 2 2 0, 2θ 35.12, I = 1000; hkl 3 1 1, 2θ 41.43, I = 88; hkl 4 0 0, 2θ 50.51, I = 179; hkl 3 3 1, 2θ 55.41, I = 40; hkl 4 2 0, 2θ 56.98, I = 6; hkl 4 2 2, 2θ 63.00, I = 370; hkl 5 1 1, 2θ 67.31, I = 31

Record 4
Theoretical powder X-ray diffraction pattern of Zr4FeNiN2 for Cu Kα (weighted mean of Kα1 and Kα2), from a structure optimized by DFT (PBE).

Atomic structure:
```
data_Zr4FeNiN2
_chemical_formula_sum 'Zr4 Fe1 Ni1 N2'
_symmetry_space_group_name_H-M 'P -6 m 2'
_symmetry_Int_Tables_number 187
_symmetry_space_group_name_Hall 'P -6 2'
_cell_length_a 3.2408
_cell_length_b 3.2408
_cell_length_c 13.1204
_cell_angle_alpha 90.00
_cell_angle_beta 90.00
_cell_angle_gamma 120.00
loop_
_atom_site_label
_atom_site_fract_x
_atom_site_fract_y
_atom_site_fract_z
_atom_site_occupancy
Zr1 0.0000 0.0000 0.1459 1
Zr2 0.3333 0.6667 0.3513 1
Fe1 0.0000 0.0000 0.5000 1
Ni1 0.3333 0.6667 0.0000 1
N1 0.6667 0.3333 0.2476 1
```

Most intense lines, 2θ = 5–70°, sorted by position:
hkl 0 0 4, 2θ 27.19, I = 65; hkl 1 0 0, 2θ 31.89, I = 239; hkl 1 0 1, 2θ 32.63, I = 68; hkl 1 0 3, 2θ 38.10, I = 1000; hkl 0 0 6, 2θ 41.29, I = 112; hkl 1 0 4, 2θ 42.39, I = 65; hkl 1 0 5, 2θ 47.43, I = 57; hkl 1 0 6, 2θ 53.09, I = 111; hkl 1 1 0, 2θ 56.82, I = 240; hkl 1 0 7, 2θ 59.29, I = 71

Record 5
Theoretical powder X-ray diffraction pattern of BaCoCu2Se4 for Cu Kα (weighted mean of Kα1 and Kα2), from a structure optimized by DFT (PBE).

Atomic structure:
```
data_BaCoCu2Se4
_chemical_formula_sum 'Ba4 Co4 Cu8 Se16'
_symmetry_space_group_name_H-M 'A m a 2'
_symmetry_Int_Tables_number 40
_cell_length_a 10.597
_cell_length_b 11.417
_cell_length_c 6.520
_cell_angle_alpha 90.00
_cell_angle_beta 90.00
_cell_angle_gamma 90.00
loop_
_symmetry_equiv_pos_as_xyz
'x,y,z'
'-x,-y,z'
'-x+1/2,y,z'
'x+1/2,-y,z'
'x,y+1/2,z+1/2'
'-x,-y+1/2,z+1/2'
'-x+1/2,y+1/2,z+1/2'
'x+1/2,-y+1/2,z+1/2'
loop_
_atom_site_label
_atom_site_fract_x
_atom_site_fract_y
_atom_site_fract_z
_atom_site_occupancy
Ba1 0.000 0.000 0.000 1
Co1 0.250 0.138 0.401 1
Cu1 0.123 0.282 0.902 1
Se1 0.085 0.245 0.264 1
Se2 0.250 0.124 0.752 1
Se3 0.250 0.446 0.792 1
```

Most intense lines, 2θ = 5–70°, sorted by position:
hkl 2 1 1, 2θ 22.99, I = 1000; hkl 0 3 1, 2θ 27.13, I = 502; hkl 0 0 2, 2θ 27.36, I = 370; hkl 1 3 1, 2θ 28.43, I = 399; hkl 3 1 1, 2θ 29.80, I = 617; hkl 0 2 2, 2θ 31.60, I = 327; hkl 2 4 0, 2θ 35.73, I = 501; hkl 2 2 2, 2θ 35.97, I = 631; hkl 4 2 0, 2θ 37.42, I = 657; hkl 3 1 3, 2θ 49.91, I = 471

Record 6
Theoretical powder X-ray diffraction pattern of Nd2Sm2B2Br2Cl3 for Cu Kα (weighted mean of Kα1 and Kα2), from a structure optimized by DFT (PBE).

Atomic structure:
```
data_Nd2Sm2B2Br2Cl3
_chemical_formula_sum 'Nd4 Sm4 B4 Br4 Cl6'
_symmetry_space_group_name_H-M 'C 1 2/m 1'
_symmetry_Int_Tables_number 12
_cell_length_a 20.227
_cell_length_b 3.945
_cell_length_c 8.019
_cell_angle_alpha 90.00
_cell_angle_beta 103.59
_cell_angle_gamma 90.00
loop_
_symmetry_equiv_pos_as_xyz
'x,y,z'
'-x,-y,-z'
'-x,y,-z'
'x,-y,z'
'x+1/2,y+1/2,z'
'-x+1/2,-y+1/2,-z'
'-x+1/2,y+1/2,-z'
'x+1/2,-y+1/2,z'
loop_
_atom_site_label
_atom_site_fract_x
_atom_site_fract_y
_atom_site_fract_z
_atom_site_occupancy
Nd1 0.002 0.000 0.215 1
Sm1 0.160 0.500 0.110 1
B1 0.040 0.500 0.024 1
Br1 0.171 0.000 0.841 1
Cl1 0.000 0.500 0.500 1
Cl2 0.161 0.000 0.351 1
```

Most intense lines, 2θ = 5–70°, sorted by position:
hkl 0 0 1, 2θ 11.35, I = 838; hkl 1 1 -1, 2θ 25.23, I = 168; hkl 3 1 0, 2θ 26.37, I = 207; hkl 6 0 0, 2θ 27.21, I = 801; hkl 1 1 -2, 2θ 31.83, I = 1000; hkl 6 0 -3, 2θ 38.84, I = 180; hkl 7 1 -2, 2θ 41.78, I = 395; hkl 5 1 2, 2θ 42.94, I = 443; hkl 0 2 0, 2θ 46.01, I = 198; hkl 6 2 0, 2θ 54.28, I = 226

Record 7
Theoretical powder X-ray diffraction pattern of Li4SnSbPt2 for Cu Kα (weighted mean of Kα1 and Kα2), from a structure optimized by DFT (PBE).

Atomic structure:
```
data_Li4SnSbPt2
_chemical_formula_sum 'Li4 Sn1 Sb1 Pt2'
_symmetry_space_group_name_H-M 'P -4 m 2'
_symmetry_Int_Tables_number 115
_cell_length_a 4.473
_cell_length_b 4.473
_cell_length_c 6.322
_cell_angle_alpha 90.00
_cell_angle_beta 90.00
_cell_angle_gamma 90.00
loop_
_symmetry_equiv_pos_as_xyz
'x,y,z'
'y,-x,-z'
'-x,-y,z'
'-y,x,-z'
'-x,y,z'
'-y,-x,-z'
'x,-y,z'
'y,x,-z'
loop_
_atom_site_label
_atom_site_fract_x
_atom_site_fract_y
_atom_site_fract_z
_atom_site_occupancy
Li1 0.000 0.000 0.000 1
Li2 0.000 0.500 0.750 1
Li3 0.500 0.500 0.500 1
Sn1 0.000 0.000 0.500 1
Sb1 0.500 0.500 0.000 1
Pt1 0.000 0.500 0.250 1
```

Most intense lines, 2θ = 5–70°, sorted by position:
hkl 1 0 1, 2θ 24.38, I = 1000; hkl 1 1 0, 2θ 28.22, I = 53; hkl 2 0 0, 2θ 40.33, I = 879; hkl 2 1 1, 2θ 47.69, I = 506; hkl 2 0 2, 2θ 49.95, I = 15; hkl 2 2 0, 2θ 58.36, I = 151; hkl 3 0 1, 2θ 64.19, I = 210; hkl 3 1 0, 2θ 66.06, I = 20